# 1
Diffraction record for HoSi3Ir3. The powder X-ray diffraction pattern is computed, not measured: it uses the PBE geometry in Alexandria and Cu Kα.
No peak broadening, texture or thermal motion is included.

Cell and atoms:
```
data_HoSi3Ir3
_cell_length_a 6.8409
_cell_length_b 6.8409
_cell_length_c 19.3220
_cell_angle_alpha 90.00
_cell_angle_beta 90.00
_cell_angle_gamma 120.00
_space_group_name_H-M_alt 'R -3'
_space_group_IT_number 148
_space_group_name_Hall '-R 3'
loop_
_atom_site_label
_atom_site_type_symbol
_atom_site_fract_x
_atom_site_fract_y
_atom_site_fract_z
Ho1 Ho 0.0000 0.0000 0.1655
Si1 Si 0.0016 0.2906 0.5922
Ir1 Ir 0.0021 0.3627 0.3854
```

Peak list (10 most intense, 15° ≤ 2θ ≤ 90°, sorted by position)
| index | 2θ/deg | d_spacing | I_rel |
| --- | --- | --- | --- |
| 1 0 1 | 15.6 | 5.664 | 13 |
| 1 1 3 | 29.6 | 3.021 | 100 |
| 2 -1 6 | 38.4 | 2.345 | 64 |
| 0 0 9 | 42.1 | 2.147 | 18 |
| 3 0 0 | 46.0 | 1.975 | 40 |
| 4 -2 3 | 55.6 | 1.653 | 16 |
| 2 2 6 | 61.4 | 1.510 | 15 |
| 3 0 9 | 64.1 | 1.453 | 26 |
| 4 1 3 | 74.9 | 1.268 | 11 |
| 5 -4 6 | 80.0 | 1.200 | 12 |

=====

# 2
Diffraction record for SmHoIr2. The powder X-ray diffraction pattern is computed, not measured: it uses the PBE geometry in Alexandria and Cu Kα.
No peak broadening, texture or thermal motion is included.

Cell and atoms:
```
data_SmHoIr2
_cell_length_a 4.975
_cell_length_b 3.335
_cell_length_c 9.964
_cell_angle_alpha 90.00
_cell_angle_beta 90.00
_cell_angle_gamma 90.00
_space_group_name_H-M_alt 'P m m a'
_space_group_IT_number 51
loop_
_space_group_symop_operation_xyz
'x,y,z'
'-x,-y,-z'
'-x+1/2,-y,z'
'x+1/2,y,-z'
'x+1/2,-y,-z'
'-x+1/2,y,z'
'-x,y,-z'
'x,-y,z'
loop_
_atom_site_label
_atom_site_type_symbol
_atom_site_fract_x
_atom_site_fract_y
_atom_site_fract_z
Sm1 Sm 0.250 0.000 0.127
Ho1 Ho 0.250 0.000 0.622
Ir1 Ir 0.250 0.500 0.380
Ir2 Ir 0.250 0.500 0.868
```

Peak list (10 most intense, 15° ≤ 2θ ≤ 90°, sorted by position)
| index | 2θ/deg | d_spacing | I_rel |
| --- | --- | --- | --- |
| 2 0 0 | 36.1 | 2.489 | 54 |
| 1 1 2 | 37.1 | 2.421 | 100 |
| 2 0 4 | 52.0 | 1.760 | 19 |
| 0 2 0 | 55.1 | 1.667 | 8 |
| 3 1 2 | 65.6 | 1.424 | 38 |
| 2 2 0 | 67.6 | 1.385 | 17 |
| 4 0 0 | 76.6 | 1.244 | 3 |
| 2 2 4 | 79.1 | 1.210 | 11 |
| 4 0 4 | 87.7 | 1.113 | 9 |
| 3 1 6 | 88.3 | 1.107 | 9 |